The following is a calculated X-ray diffraction stick pattern of Mn2CrTe6. It was derived from a PBE-relaxed structure, using Cu Kα, 1.54184 Å.

Structure:
Unit cell a=6.6908 b=6.6908 c=6.1952 alpha=90.00 beta=90.00 gamma=120.00
Space group P-31m (No. 162)
Inequivalent atoms, fractional coordinates:
Mn 0.3333 0.6667 0.0000
Cr 0.0000 0.0000 0.0000
Te 0.0000 0.3352 0.2449

Most intense lines, 10 to 80 degrees two-theta, low angle first:
| Position (°2θ) | I/Imax | (hkl) |
| --- | --- | --- |
| 28.82 | 14 | 0 0 2 |
| 30.36 | 100 | 2 -1 1 |
| 39.65 | 32 | 2 -1 2 |
| 47.05 | 28 | 3 0 0 |
| 52.04 | 22 | 1 1 3 |
| 56.12 | 14 | 3 0 2 |
| 57.03 | 16 | 2 2 1 |
| 76.96 | 14 | 5 -1 1 |